For Li2SbCl5, a DFT-relaxed cell (PBE, Alexandria) gives the theoretical X-ray powder pattern in this record (Cu Kα (λ = 1.5418 Å)).
Neutral-atom scattering factors, no anomalous dispersion.

Top 10 peaks for 10 to 80 degrees two-theta, by intensity:
2θ 14.91, rel. 100, (1 1 0)
2θ 16.85, rel. 83, (2 0 -2)
2θ 15.57, rel. 68, (2 0 0)
2θ 20.37, rel. 54, (1 1 -2)
2θ 45.86, rel. 51, (1 3 2)
2θ 28.95, rel. 40, (2 2 -1)
2θ 34.63, rel. 37, (3 1 -4)
2θ 18.46, rel. 35, (0 0 2)
2θ 27.82, rel. 34, (1 1 -3)
2θ 26.76, rel. 28, (3 1 0)

a = 13.3350 Å, b = 6.9650 Å, c = 11.2570 Å
α = 90.00°, β = 121.37°, γ = 90.00°
Space group Cc (No. 9)
Asymmetric unit:
1 Li 0.0000 0.0397 0.0000
2 Li 0.2294 0.4590 0.7005
3 Sb 0.3595 0.0018 0.3590
4 Cl 0.0745 0.3600 0.0062
5 Cl 0.1416 0.1480 0.6964
6 Cl 0.2949 0.3440 0.4066
7 Cl 0.3491 0.1391 0.1569
8 Cl 0.4312 0.3234 0.8029

For Rb2Cd3Hg4, a DFT-relaxed cell (PBE, Alexandria) gives the theoretical X-ray powder pattern in this record (Cu Kα (λ = 1.5418 Å)).
Neutral-atom scattering factors, no anomalous dispersion.

Top 10 peaks for 10 to 80 degrees two-theta, by intensity:
2θ 32.57, rel. 100, (2 0 6)
2θ 31.25, rel. 77, (1 3 5)
2θ 34.05, rel. 76, (1 3 7)
2θ 28.19, rel. 67, (1 3 1)
2θ 32.72, rel. 67, (0 0 12)
2θ 34.34, rel. 56, (0 4 4)
2θ 16.32, rel. 51, (1 1 1)
2θ 68.21, rel. 46, (2 6 12)
2θ 58.00, rel. 42, (2 6 0)
2θ 39.40, rel. 27, (0 4 8)

a = 6.3590 Å, b = 11.0196 Å, c = 32.8410 Å
α = 90.00°, β = 90.00°, γ = 90.00°
Space group Fddd (No. 70, origin choice 2)
Asymmetric unit:
1 Rb 0.1250 0.1250 0.0536
2 Cd 0.1250 0.1250 0.3740
3 Cd 0.1250 0.1250 0.6250
4 Hg 0.1162 0.2870 0.7077

For AgHgSbSe2, a DFT-relaxed cell (PBE, Alexandria) gives the theoretical X-ray powder pattern in this record (Cu Kα (λ = 1.5418 Å)).
Neutral-atom scattering factors, no anomalous dispersion.

Top 10 peaks for 10 to 80 degrees two-theta, by intensity:
2θ 30.52, rel. 100, (0 2 0)
2θ 10.16, rel. 68, (0 0 1)
2θ 25.50, rel. 64, (0 1 2)
2θ 34.26, rel. 49, (2 0 -2)
2θ 46.54, rel. 47, (2 2 -2)
2θ 16.94, rel. 46, (1 0 -1)
2θ 25.87, rel. 41, (1 0 2)
2θ 34.98, rel. 31, (2 1 1)
2θ 34.50, rel. 30, (0 1 3)
2θ 52.38, rel. 30, (0 2 4)

a = 6.2148 Å, b = 5.8578 Å, c = 8.7281 Å
α = 90.00°, β = 94.24°, γ = 90.00°
Space group P2_1/m (No. 11)
Asymmetric unit:
1 Ag 0.0811 0.2500 0.1216
2 Hg 0.4628 0.7500 0.9076
3 Sb 0.1763 0.2500 0.6283
4 Se 0.0991 0.7500 0.1662
5 Se 0.1126 0.7500 0.6095

For Y2Tm3Tl2, a DFT-relaxed cell (PBE, Alexandria) gives the theoretical X-ray powder pattern in this record (Cu Kα (λ = 1.5418 Å)).
Neutral-atom scattering factors, no anomalous dispersion.

Top 10 peaks for 10 to 80 degrees two-theta, by intensity:
2θ 32.69, rel. 100, (1 1 2)
2θ 31.04, rel. 93, (3 1 -1)
2θ 38.07, rel. 41, (0 2 0)
2θ 17.13, rel. 30, (2 0 -1)
2θ 32.77, rel. 30, (2 0 -3)
2θ 39.77, rel. 21, (4 0 1)
2θ 37.54, rel. 21, (1 1 -3)
2θ 34.14, rel. 19, (3 1 -2)
2θ 32.00, rel. 18, (3 1 0)
2θ 51.08, rel. 17, (2 2 -3)

a = 10.9861 Å, b = 4.7277 Å, c = 8.3582 Å
α = 90.00°, β = 108.66°, γ = 90.00°
Space group C2/m (No. 12)
Asymmetric unit:
1 Y 0.1197 0.0000 0.2685
2 Tm 0.0000 0.5000 0.5000
3 Tm 0.1326 0.5000 0.9386
4 Tl 0.1794 0.0000 0.6885

For HoHf2Th, a DFT-relaxed cell (PBE, Alexandria) gives the theoretical X-ray powder pattern in this record (Cu Kα (λ = 1.5418 Å)).
Neutral-atom scattering factors, no anomalous dispersion.

Top 10 peaks for 10 to 80 degrees two-theta, by intensity:
2θ 32.81, rel. 100, (1 1 1)
2θ 37.86, rel. 34, (2 0 0)
2θ 65.20, rel. 28, (3 1 1)
2θ 55.08, rel. 23, (2 0 2)
2θ 38.46, rel. 16, (0 0 2)
2θ 66.02, rel. 14, (1 1 3)
2θ 68.78, rel. 12, (2 2 2)
2θ 54.62, rel. 12, (2 2 0)
2θ 18.67, rel. 1, (1 0 0)
2θ 26.73, rel. 1, (1 0 1)

a = 4.7525 Å, b = 4.7525 Å, c = 4.6808 Å
α = 90.00°, β = 90.00°, γ = 90.00°
Space group P4/mmm (No. 123)
Asymmetric unit:
1 Ho 0.0000 0.0000 0.0000
2 Hf 0.0000 0.5000 0.5000
3 Th 0.5000 0.5000 0.0000

For PrReCl, a DFT-relaxed cell (PBE, Alexandria) gives the theoretical X-ray powder pattern in this record (Cu Kα (λ = 1.5418 Å)).
Neutral-atom scattering factors, no anomalous dispersion.

Top 10 peaks for 10 to 80 degrees two-theta, by intensity:
2θ 32.53, rel. 100, (1 1 3)
2θ 43.77, rel. 84, (2 1 0)
2θ 37.94, rel. 66, (1 0 -4)
2θ 29.79, rel. 66, (0 0 4)
2θ 35.68, rel. 52, (0 1 -3)
2θ 37.52, rel. 46, (0 0 5)
2θ 43.49, rel. 39, (-1 1 1)
2θ 27.38, rel. 36, (0 1 2)
2θ 24.84, rel. 35, (0 1 0)
2θ 43.64, rel. 30, (1 -1 0)

a = 4.1349 Å, b = 4.1470 Å, c = 12.0802 Å
α = 83.75°, β = 89.89°, γ = 60.49°
Space group P1 (No. 1)
Asymmetric unit:
1 Pr 0.0000 0.0000 0.0000
2 Pr 0.4180 0.1689 0.4146
3 Re 0.3671 0.2627 0.1735
4 Re 0.7072 0.5846 0.2057
5 Cl 0.3051 0.3958 0.8542
6 Cl 0.7821 0.4460 0.5587

For Pr3BrN2, a DFT-relaxed cell (PBE, Alexandria) gives the theoretical X-ray powder pattern in this record (Cu Kα (λ = 1.5418 Å)).
Neutral-atom scattering factors, no anomalous dispersion.

Top 10 peaks for 10 to 80 degrees two-theta, by intensity:
2θ 39.86, rel. 100, (2 2 2)
2θ 29.40, rel. 96, (0 2 2)
2θ 29.95, rel. 65, (0 4 0)
2θ 26.32, rel. 37, (2 0 0)
2θ 30.21, rel. 36, (2 1 1)
2θ 40.29, rel. 32, (2 4 0)
2θ 14.58, rel. 32, (0 1 1)
2θ 37.12, rel. 30, (2 3 1)
2θ 59.97, rel. 27, (2 6 2)
2θ 67.58, rel. 27, (2 4 4)

a = 6.7735 Å, b = 11.9328 Å, c = 7.0611 Å
α = 90.00°, β = 90.00°, γ = 90.00°
Space group Imma (No. 74)
Asymmetric unit:
1 Pr 0.2466 0.0000 0.0000
2 Pr 0.2500 0.2500 0.2500
3 Br 0.0000 0.2500 0.6171
4 N 0.0000 0.0910 0.1806

For SrAl2W, a DFT-relaxed cell (PBE, Alexandria) gives the theoretical X-ray powder pattern in this record (Cu Kα (λ = 1.5418 Å)).
Neutral-atom scattering factors, no anomalous dispersion.

Top 10 peaks for 10 to 80 degrees two-theta, by intensity:
2θ 19.56, rel. 100, (2 0 0)
2θ 35.82, rel. 97, (1 1 1)
2θ 13.66, rel. 69, (0 0 1)
2θ 32.36, rel. 60, (2 0 -2)
2θ 44.69, rel. 59, (3 1 -1)
2θ 27.51, rel. 55, (0 0 2)
2θ 35.06, rel. 50, (1 1 -1)
2θ 35.55, rel. 43, (2 0 2)
2θ 39.73, rel. 38, (4 0 0)
2θ 46.57, rel. 36, (3 1 1)

a = 9.1180 Å, b = 2.8872 Å, c = 6.5141 Å
α = 90.00°, β = 95.53°, γ = 90.00°
Space group C2/m (No. 12)
Asymmetric unit:
1 Sr 0.0000 0.0000 0.0000
2 Al 0.2376 0.0000 0.6743
3 W 0.0000 0.5000 0.5000